Starting from DFT lattice parameters and positions (GGA-PBE), the powder XRD pattern of Mg14CuSi was calculated for λ = 1.5418 Å (Cu Kα).
Kinematic intensities with the Lorentz-polarization factor, no thermal factor.

Top 12 peaks for 15 to 90 degrees two-theta, in order of rising 2θ:
hkl	2theta	d/Å	Rel. int.
1 0 0	16.39	5.408	7
1 0 1	18.67	4.752	6
1 0 2	24.30	3.663	4
2 0 0	33.13	2.704	25
0 0 4	36.09	2.489	25
2 0 2	37.86	2.376	100
2 0 4	49.79	1.831	15
2 2 0	59.18	1.561	17
2 0 6	66.06	1.414	18
2 2 4	71.31	1.323	19
4 0 2	72.43	1.305	13
4 0 4	80.91	1.188	3

Atomic structure:
```
data_Mg14CuSi
_symmetry_space_group_name_H-M 'P -6 m 2'
_symmetry_Int_Tables_number 187
_symmetry_space_group_name_Hall 'P -6 2'
_cell_length_a 6.2449
_cell_length_b 6.2449
_cell_length_c 9.9556
_cell_angle_alpha 90.00
_cell_angle_beta 90.00
_cell_angle_gamma 120.00
loop_
_atom_site_label
_atom_site_fract_x
_atom_site_fract_y
_atom_site_fract_z
Mg1 0.0000 0.0000 0.2483
Mg2 0.0090 0.5045 0.2510
Mg3 0.3319 0.1659 0.5000
Mg4 0.3330 0.1665 0.0000
Cu1 0.3333 0.6667 0.5000
Si1 0.3333 0.6667 0.0000
```